(1)
Theoretical X-ray powder pattern
Compound: K3Zn
Radiation: Cu Ka
Structure: DFT lattice parameters and positions (GGA-PBE)

Top 10 peaks for 2θ = 10–80°, by angle:
2theta	intensity
25.9	100
29.6	35
30.7	16
42.4	12
43.2	23
50.4	28
51.8	13
53.3	12
69.1	10
78.2	7

Structural model:
```
K3Zn
1.0
-3.013 3.013 5.820
3.013 -3.013 5.820
3.013 3.013 -5.820
K Zn
3 1
direct
0.000 0.000 0.000
0.250 0.750 0.500
0.750 0.250 0.500
0.500 0.500 0.000
```



(2)
Theoretical X-ray powder pattern
Compound: K3Zr
Radiation: Cu Ka
Structure: DFT lattice parameters and positions (GGA-PBE)

Top 10 peaks for 2θ = 10–80°, by angle:
2theta	intensity
16.4	12
19.0	7
27.0	100
31.8	7
38.6	18
47.7	37
55.7	11
63.0	15
69.8	4
76.3	17

Structural model:
```
K3Zr
1.0
0.000 4.668 4.668
4.668 0.000 4.668
4.668 4.668 0.000
K Zr
3 1
direct
0.000 0.000 0.000
0.250 0.250 0.250
0.750 0.750 0.750
0.500 0.500 0.500
```